(1)
For La7Pr2Ho, a cell relaxed with GGA-PBE gives the computed XRD peak list in this record (copper Kα).
Kinematic intensities with the Lorentz-polarization factor, no thermal factor.

Cell and atoms:
```
La7Pr2Ho
1.0
9.052 0.000 0.000
0.000 3.540 0.000
-4.431 0.000 11.215
La Pr Ho
7 2 1
Direct
0.000 0.000 0.000 La
0.190 0.000 0.307 La
0.222 0.000 0.810 La
0.392 0.500 0.111 La
0.608 0.500 0.889 La
0.778 0.000 0.190 La
0.810 0.000 0.693 La
0.396 0.000 0.603 Pr
0.604 0.000 0.397 Pr
0.000 0.500 0.500 Ho
```

Largest 10 diffraction maxima, in order of falling intensity, 2θ from 5° to 70°:
| two_theta | I_rel | index |
| --- | --- | --- |
| 29.7 | 100.0 | 1 0 -4 |
| 29.9 | 88.9 | 3 0 -2 |
| 30.9 | 70.4 | 2 0 2 |
| 29.6 | 60.0 | 1 1 1 |
| 36.0 | 35.4 | 2 1 -3 |
| 32.1 | 25.4 | 2 1 -1 |
| 60.7 | 24.7 | 1 2 -4 |
| 61.4 | 20.1 | 2 2 2 |
| 60.8 | 20.1 | 3 2 -2 |
| 25.2 | 19.0 | 0 1 0 |

---

(2)
For La2TeSe2, a cell relaxed with GGA-PBE gives the computed XRD peak list in this record (copper Kα).
Kinematic intensities with the Lorentz-polarization factor, no thermal factor.

Cell and atoms:
```
La2TeSe2
1.0
4.550 0.000 0.000
0.000 5.865 0.000
0.000 0.000 14.433
La Te Se
4 2 4
Direct
0.000 0.000 0.161 La
0.000 0.000 0.839 La
0.500 0.500 0.339 La
0.500 0.500 0.661 La
0.000 0.500 0.500 Te
0.500 0.000 0.000 Te
0.000 0.500 0.204 Se
0.000 0.500 0.796 Se
0.500 0.000 0.296 Se
0.500 0.000 0.704 Se
```

Largest 10 diffraction maxima, in order of falling intensity, 2θ from 5° to 70°:
| two_theta | I_rel | index |
| --- | --- | --- |
| 27.0 | 100.0 | 1 0 3 |
| 41.1 | 63.9 | 1 2 3 |
| 16.3 | 61.6 | 0 1 1 |
| 35.2 | 46.6 | 1 1 4 |
| 30.5 | 42.1 | 0 2 0 |
| 39.6 | 20.6 | 2 0 0 |
| 50.8 | 20.0 | 2 2 0 |
| 12.3 | 19.9 | 0 0 2 |
| 46.7 | 17.3 | 0 1 7 |
| 62.9 | 14.1 | 2 1 7 |

---

(3)
For TaFePt, a cell relaxed with GGA-PBE gives the computed XRD peak list in this record (copper Kα).
Kinematic intensities with the Lorentz-polarization factor, no thermal factor.

Cell and atoms:
```
TaFePt
1.0
5.517 0.000 0.000
0.000 5.480 0.000
-1.581 0.000 5.982
Ta Fe Pt
4 4 4
Direct
0.092 0.000 0.286 Ta
0.408 0.500 0.714 Ta
0.592 0.500 0.286 Ta
0.908 0.000 0.714 Ta
0.250 0.250 0.000 Fe
0.250 0.750 0.000 Fe
0.750 0.250 0.000 Fe
0.750 0.750 0.000 Fe
0.096 0.500 0.301 Pt
0.404 0.000 0.699 Pt
0.596 0.000 0.301 Pt
0.904 0.500 0.699 Pt
```

Largest 10 diffraction maxima, in order of falling intensity, 2θ from 5° to 70°:
| two_theta | I_rel | index |
| --- | --- | --- |
| 44.9 | 100.0 | 0 2 2 |
| 40.4 | 87.8 | 2 0 1 |
| 32.7 | 82.7 | 0 2 0 |
| 47.2 | 75.8 | 2 2 -1 |
| 29.9 | 71.1 | 0 0 2 |
| 39.1 | 67.8 | 2 0 -2 |
| 33.1 | 44.4 | 2 0 -1 |
| 52.9 | 43.3 | 2 2 1 |
| 45.5 | 37.2 | 0 0 3 |
| 36.1 | 33.8 | 0 2 1 |

---

What is the formula in the first record? La7Pr2Ho

---

Copy entry 1 word for word.
For La7Pr2Ho, a cell relaxed with GGA-PBE gives the computed XRD peak list in this record (copper Kα).
Kinematic intensities with the Lorentz-polarization factor, no thermal factor.

Cell and atoms:
```
La7Pr2Ho
1.0
9.052 0.000 0.000
0.000 3.540 0.000
-4.431 0.000 11.215
La Pr Ho
7 2 1
Direct
0.000 0.000 0.000 La
0.190 0.000 0.307 La
0.222 0.000 0.810 La
0.392 0.500 0.111 La
0.608 0.500 0.889 La
0.778 0.000 0.190 La
0.810 0.000 0.693 La
0.396 0.000 0.603 Pr
0.604 0.000 0.397 Pr
0.000 0.500 0.500 Ho
```

Largest 10 diffraction maxima, in order of falling intensity, 2θ from 5° to 70°:
| two_theta | I_rel | index |
| --- | --- | --- |
| 29.7 | 100.0 | 1 0 -4 |
| 29.9 | 88.9 | 3 0 -2 |
| 30.9 | 70.4 | 2 0 2 |
| 29.6 | 60.0 | 1 1 1 |
| 36.0 | 35.4 | 2 1 -3 |
| 32.1 | 25.4 | 2 1 -1 |
| 60.7 | 24.7 | 1 2 -4 |
| 61.4 | 20.1 | 2 2 2 |
| 60.8 | 20.1 | 3 2 -2 |
| 25.2 | 19.0 | 0 1 0 |